The following is a theoretical powder diffraction line list of Li6MnS4. It was derived from a structure optimized by DFT (GGA-PBE), using Cu Kα.

Principal peaks in the range 15° ≤ 2θ ≤ 90°, low angle first:
d_spacing	2θ/deg	Rel. int.
4.707	18.9	63.2
3.307	27.0	100.0
3.059	29.2	18.0
2.032	44.6	54.4
2.012	45.1	29.2
1.719	53.3	23.4

Structure:
Cell lengths 8.047, 8.047, 5.804 Å; angles 90.00, 90.00, 90.00 degrees
Element x y z (fractional)
Li1 0.024 0.524 0.250
Li2 0.024 0.976 0.250
Li3 0.250 0.250 0.212
Li4 0.250 0.250 0.712
Li5 0.476 0.524 0.250
Li6 0.476 0.976 0.250
Li7 0.524 0.024 0.750
Li8 0.524 0.476 0.750
Li9 0.750 0.750 0.288
Li10 0.750 0.750 0.788
Li11 0.976 0.024 0.750
Li12 0.976 0.476 0.750
Mn1 0.250 0.750 0.750
Mn2 0.750 0.250 0.250
S1 0.007 0.250 0.466
S2 0.250 0.007 0.966
S3 0.250 0.493 0.966
S4 0.493 0.250 0.466
S5 0.507 0.750 0.534
S6 0.750 0.507 0.034
S7 0.750 0.993 0.034
S8 0.993 0.750 0.534



The following is a theoretical powder diffraction line list of CaH4SeO6. It was derived from a structure optimized by DFT (GGA-PBE), using Cu Kα.

Principal peaks in the range 15° ≤ 2θ ≤ 90°, low angle first:
d_spacing	2θ/deg	Rel. int.
4.364	20.4	100.0
3.130	28.5	62.7
3.047	29.3	51.7
2.798	32.0	28.8
1.961	46.3	22.5
1.850	49.3	30.3

Structure:
Cell lengths 8.468, 8.468, 5.880 Å; angles 100.08, 100.08, 133.47 degrees
Element x y z (fractional)
Ca1 0.169 0.831 0.750
Ca2 0.831 0.169 0.250
H1 0.165 0.337 0.742
H2 0.235 0.247 0.570
H3 0.247 0.235 0.070
H4 0.337 0.165 0.242
H5 0.663 0.835 0.758
H6 0.753 0.765 0.930
H7 0.765 0.753 0.430
H8 0.835 0.663 0.258
Se1 0.332 0.668 0.250
Se2 0.668 0.332 0.750
O1 0.145 0.282 0.566
O2 0.167 0.625 0.407
O3 0.172 0.390 0.057
O4 0.282 0.145 0.066
O5 0.375 0.833 0.093
O6 0.390 0.172 0.557
O7 0.610 0.828 0.443
O8 0.625 0.167 0.907
O9 0.718 0.855 0.934
O10 0.828 0.610 0.943
O11 0.833 0.375 0.593
O12 0.855 0.718 0.434



The following is a theoretical powder diffraction line list of BaLaSmCuO5. It was derived from a structure optimized by DFT (GGA-PBE), using Cu Kα.

Principal peaks in the range 15° ≤ 2θ ≤ 90°, low angle first:
d_spacing	2θ/deg	Rel. int.
2.946	30.3	100.0
2.708	33.1	19.9
2.694	33.3	20.9
2.120	42.6	14.4
2.113	42.8	15.4
1.702	53.9	14.5

Structure:
Cell lengths 6.793, 6.793, 5.901 Å; angles 90.00, 90.00, 90.50 degrees
Element x y z (fractional)
Ba1 0.000 0.500 0.000
Ba2 0.500 0.000 0.000
La1 0.175 0.825 0.500
La2 0.825 0.175 0.500
Sm1 0.326 0.326 0.500
Sm2 0.674 0.674 0.500
Cu1 0.000 0.000 0.000
Cu2 0.500 0.500 0.000
O1 0.000 0.500 0.500
O2 0.143 0.143 0.240
O3 0.143 0.143 0.760
O4 0.364 0.636 0.244
O5 0.364 0.636 0.756
O6 0.500 0.000 0.500
O7 0.636 0.364 0.244
O8 0.636 0.364 0.756
O9 0.857 0.857 0.240
O10 0.857 0.857 0.760



The following is a theoretical powder diffraction line list of Ca2Se4O11. It was derived from a structure optimized by DFT (GGA-PBE), using Cu Kα.

Principal peaks in the range 15° ≤ 2θ ≤ 90°, low angle first:
d_spacing	2θ/deg	Rel. int.
4.107	21.6	72.2
3.587	24.8	64.2
3.470	25.7	100.0
3.404	26.2	27.5
3.347	26.6	60.3
2.495	36.0	30.7

Structure:
Cell lengths 8.338, 8.338, 12.176 Å; angles 114.88, 114.88, 50.97 degrees
Element x y z (fractional)
Ca1 0.208 0.708 0.144
Ca2 0.242 0.758 0.500
Ca3 0.708 0.208 0.644
Ca4 0.758 0.242 0.000
Se1 0.043 0.352 0.896
Se2 0.159 0.642 0.689
Se3 0.340 0.818 0.980
Se4 0.352 0.043 0.396
Se5 0.603 0.923 0.747
Se6 0.642 0.159 0.189
Se7 0.818 0.340 0.480
Se8 0.923 0.603 0.247
O1 0.039 0.873 0.651
O2 0.052 0.346 0.760
O3 0.094 0.905 0.978
O4 0.132 0.622 0.280
O5 0.325 0.473 0.590
O6 0.326 0.840 0.366
O7 0.346 0.052 0.260
O8 0.371 0.971 0.647
O9 0.374 0.646 0.823
O10 0.473 0.325 0.090
O11 0.488 0.625 0.060
O12 0.584 0.993 0.497
O13 0.617 0.908 0.884
O14 0.622 0.132 0.780
O15 0.625 0.488 0.560
O16 0.646 0.374 0.323
O17 0.840 0.326 0.866
O18 0.873 0.039 0.151
O19 0.905 0.094 0.478
O20 0.908 0.617 0.384
O21 0.971 0.371 0.147
O22 0.993 0.584 0.997



The following is a theoretical powder diffraction line list of Ba2DyBiO6. It was derived from a structure optimized by DFT (GGA-PBE), using Cu Kα.

Principal peaks in the range 15° ≤ 2θ ≤ 90°, low angle first:
d_spacing	2θ/deg	Rel. int.
3.078	29.0	100.0
2.176	41.5	27.8
1.777	51.4	42.8
1.539	60.1	17.8
1.376	68.1	18.6
1.163	83.0	22.7

Structure:
Cell lengths 8.705, 8.705, 8.705 Å; angles 90.00, 90.00, 90.00 degrees
Element x y z (fractional)
Ba1 0.250 0.250 0.250
Ba2 0.250 0.250 0.750
Ba3 0.250 0.750 0.250
Ba4 0.250 0.750 0.750
Ba5 0.750 0.250 0.250
Ba6 0.750 0.250 0.750
Ba7 0.750 0.750 0.250
Ba8 0.750 0.750 0.750
Dy1 0.000 0.000 0.000
Dy2 0.000 0.500 0.500
Dy3 0.500 0.000 0.500
Dy4 0.500 0.500 0.000
Bi1 0.000 0.000 0.500
Bi2 0.000 0.500 0.000
Bi3 0.500 0.000 0.000
Bi4 0.500 0.500 0.500
O1 0.017 0.519 0.756
O2 0.017 0.981 0.744
O3 0.019 0.244 0.517
O4 0.019 0.256 0.983
O5 0.244 0.517 0.019
O6 0.244 0.983 0.481
O7 0.256 0.517 0.481
O8 0.256 0.983 0.019
O9 0.481 0.244 0.983
O10 0.481 0.256 0.517
O11 0.483 0.519 0.744
O12 0.483 0.981 0.756
O13 0.517 0.019 0.244
O14 0.517 0.481 0.256
O15 0.519 0.744 0.483
O16 0.519 0.756 0.017
O17 0.744 0.017 0.981
O18 0.744 0.483 0.519
O19 0.756 0.017 0.519
O20 0.756 0.483 0.981
O21 0.981 0.744 0.017
O22 0.981 0.756 0.483
O23 0.983 0.019 0.256
O24 0.983 0.481 0.244